The following is a simulated powder XRD pattern of EuMg2Fe. It was derived from a cell relaxed with GGA-PBE, using CuKα.

Top 10 peaks for 2θ = 15–90°, by angle:
- 2θ 21.2, intensity 100
- 2θ 27.5, intensity 43
- 2θ 34.9, intensity 19
- 2θ 37.1, intensity 48
- 2θ 41.2, intensity 38
- 2θ 43.1, intensity 16
- 2θ 51.9, intensity 35
- 2θ 58.2, intensity 18
- 2θ 69.7, intensity 15
- 2θ 77.8, intensity 16

Atomic structure:
abc: 4.842 4.842 5.138
angles: 90.00 90.00 120.00
Fractional coordinates of all 4 atoms:
Eu  0.000  0.000  0.000
Mg  0.333  0.667  0.522
Mg  0.667  0.333  0.478
Fe  0.000  0.000  0.500

The following is a simulated powder XRD pattern of EuFe2P2. It was derived from a cell relaxed with GGA-PBE, using CuKα.

Top 10 peaks for 2θ = 15–90°, by angle:
- 2θ 24.8, intensity 58
- 2θ 33.4, intensity 35
- 2θ 34.4, intensity 86
- 2θ 37.4, intensity 100
- 2θ 47.8, intensity 41
- 2θ 48.7, intensity 18
- 2θ 59.5, intensity 19
- 2θ 60.2, intensity 33
- 2θ 62.3, intensity 33
- 2θ 82.1, intensity 19

Atomic structure:
abc: 6.006 6.006 6.006
angles: 143.05 143.05 53.24
Fractional coordinates of all 5 atoms:
Eu  0.000  0.000  0.000
Fe  0.250  0.750  0.500
Fe  0.750  0.250  0.500
P  0.352  0.352  0.000
P  0.648  0.648  0.000

The following is a simulated powder XRD pattern of EuFe4P12. It was derived from a cell relaxed with GGA-PBE, using CuKα.

Top 10 peaks for 2θ = 15–90°, by angle:
- 2θ 16.0, intensity 45
- 2θ 28.0, intensity 30
- 2θ 32.4, intensity 88
- 2θ 36.4, intensity 100
- 2θ 43.3, intensity 74
- 2θ 46.5, intensity 14
- 2θ 57.8, intensity 61
- 2θ 60.4, intensity 46
- 2θ 77.3, intensity 21
- 2θ 84.0, intensity 15

Atomic structure:
abc: 6.764 6.764 6.764
angles: 109.47 109.47 109.47
Fractional coordinates of all 17 atoms:
Eu  0.000  0.000  0.000
Fe  0.000  0.000  0.500
Fe  0.000  0.500  0.000
Fe  0.500  0.000  0.000
Fe  0.500  0.500  0.500
P  0.151  0.504  0.353
P  0.151  0.798  0.647
P  0.202  0.353  0.849
P  0.353  0.151  0.504
P  0.353  0.849  0.202
P  0.496  0.647  0.849
P  0.504  0.353  0.151
P  0.647  0.151  0.798
P  0.647  0.849  0.496
P  0.798  0.647  0.151
P  0.849  0.202  0.353
P  0.849  0.496  0.647

The following is a simulated powder XRD pattern of Eu2FeP3Pt7. It was derived from a cell relaxed with GGA-PBE, using CuKα.

Top 10 peaks for 2θ = 15–90°, by angle:
- 2θ 26.4, intensity 18
- 2θ 31.7, intensity 42
- 2θ 37.0, intensity 100
- 2θ 37.2, intensity 34
- 2θ 41.2, intensity 19
- 2θ 44.4, intensity 60
- 2θ 46.0, intensity 15
- 2θ 59.2, intensity 18
- 2θ 64.5, intensity 20
- 2θ 76.8, intensity 24

Atomic structure:
abc: 13.798 13.798 13.798
angles: 162.98 162.98 24.16
Fractional coordinates of all 13 atoms:
Eu  0.165  0.165  0.000
Eu  0.835  0.835  0.000
Fe  0.000  0.000  0.000
P  0.380  0.380  0.000
P  0.620  0.620  0.000
P  0.750  0.250  0.500
Pt  0.071  0.571  0.500
Pt  0.293  0.293  0.000
Pt  0.429  0.929  0.500
Pt  0.500  0.500  0.000
Pt  0.570  0.070  0.500
Pt  0.707  0.707  0.000
Pt  0.930  0.430  0.500

The following is a simulated powder XRD pattern of EuFe2Si2. It was derived from a cell relaxed with GGA-PBE, using CuKα.

Top 10 peaks for 2θ = 15–90°, by angle:
- 2θ 23.9, intensity 49
- 2θ 35.3, intensity 57
- 2θ 36.5, intensity 100
- 2θ 45.2, intensity 36
- 2θ 51.7, intensity 26
- 2θ 58.6, intensity 26
- 2θ 59.4, intensity 14
- 2θ 65.7, intensity 20
- 2θ 71.1, intensity 12
- 2θ 77.7, intensity 24

Atomic structure:
abc: 5.683 5.683 5.683
angles: 138.65 138.65 59.91
Fractional coordinates of all 5 atoms:
Eu  0.000  0.000  0.000
Fe  0.250  0.750  0.500
Fe  0.750  0.250  0.500
Si  0.359  0.359  0.000
Si  0.641  0.641  0.000

The following is a simulated powder XRD pattern of EuGa4. It was derived from a cell relaxed with GGA-PBE, using CuKα.

Top 10 peaks for 2θ = 15–90°, by angle:
- 2θ 28.3, intensity 17
- 2θ 32.1, intensity 63
- 2θ 33.0, intensity 100
- 2θ 40.5, intensity 57
- 2θ 47.1, intensity 29
- 2θ 52.6, intensity 31
- 2θ 58.6, intensity 19
- 2θ 63.8, intensity 23
- 2θ 68.9, intensity 23
- 2θ 84.4, intensity 13

Atomic structure:
abc: 6.216 6.216 6.216
angles: 137.98 137.98 60.94
Fractional coordinates of all 5 atoms:
Eu  0.000  0.000  0.000
Ga  0.250  0.750  0.500
Ga  0.383  0.383  0.000
Ga  0.617  0.617  0.000
Ga  0.750  0.250  0.500